Record 1
Diffraction record for Nd3Ho4Cd. The PXRD pattern is simulated, not measured: it uses a structure optimized by DFT (GGA-PBE) and Cu Kα.

The 10 most intense peaks (2θ from 10° to 80°), low angle first:
2θ (°)	d [Å]	I/Imax
28.38	3.145	5
30.99	2.886	100
35.16	2.552	40
37.42	2.403	11
48.71	1.870	6
50.58	1.805	14
52.29	1.750	17
58.69	1.573	8
60.51	1.530	30
64.59	1.443	9

Cell lengths 3.6093, 3.6093, 19.2254 Å; angles 90.00, 90.00, 90.00 degrees
Atoms (fractional coordinates):
Nd  0.0000  0.0000  0.0000
Nd  0.0000  0.0000  0.2642
Nd  0.0000  0.0000  0.7358
Ho  0.5000  0.5000  0.1320
Ho  0.5000  0.5000  0.3952
Ho  0.5000  0.5000  0.6048
Ho  0.5000  0.5000  0.8680
Cd  0.0000  0.0000  0.5000



Record 2
Diffraction record for LiDy2Al4Au3. The PXRD pattern is simulated, not measured: it uses a structure optimized by DFT (GGA-PBE) and Cu Kα.

The 10 most intense peaks (2θ from 10° to 80°), low angle first:
2θ (°)	d [Å]	I/Imax
24.17	3.682	28
26.63	3.347	65
30.03	2.975	44
31.13	2.873	42
32.31	2.771	94
34.23	2.619	100
42.99	2.104	67
46.43	1.956	59
54.79	1.676	44
65.12	1.432	43

Cell lengths 4.2078, 4.2078, 11.0452 Å; angles 90.00, 90.00, 90.00 degrees
Atoms (fractional coordinates):
Li  0.0000  0.0000  0.0000
Dy  0.0000  0.5000  0.7486
Dy  0.5000  0.0000  0.2514
Al  0.0000  0.0000  0.5000
Al  0.0000  0.5000  0.1354
Al  0.5000  0.0000  0.8646
Al  0.5000  0.5000  0.5000
Au  0.0000  0.5000  0.3617
Au  0.5000  0.0000  0.6383
Au  0.5000  0.5000  0.0000



Record 3
Diffraction record for PmAsRu2N. The PXRD pattern is simulated, not measured: it uses a structure optimized by DFT (GGA-PBE) and Cu Kα.

The 10 most intense peaks (2θ from 10° to 80°), low angle first:
2θ (°)	d [Å]	I/Imax
33.15	2.702	67
33.68	2.661	38
34.84	2.575	100
35.42	2.534	50
40.07	2.250	29
40.28	2.239	23
44.83	2.022	26
47.44	1.916	32
60.60	1.528	17
63.19	1.471	17

Cell lengths 6.0279, 6.0279, 7.2997 Å; angles 90.00, 90.00, 142.92 degrees
Atoms (fractional coordinates):
Pm  0.0409  0.9591  0.7500
Pm  0.9591  0.0409  0.2500
As  0.2325  0.7675  0.2500
As  0.7675  0.2325  0.7500
Ru  0.3385  0.6615  0.5510
Ru  0.3385  0.6615  0.9490
Ru  0.6615  0.3385  0.0510
Ru  0.6615  0.3385  0.4490
N  0.5000  0.5000  0.0000
N  0.5000  0.5000  0.5000



Record 4
Diffraction record for RbPaNO. The PXRD pattern is simulated, not measured: it uses a structure optimized by DFT (GGA-PBE) and Cu Kα.

The 10 most intense peaks (2θ from 10° to 80°), low angle first:
2θ (°)	d [Å]	I/Imax
12.26	7.217	50
24.67	3.608	37
28.14	3.171	28
30.80	2.903	100
37.75	2.383	27
47.39	1.918	16
47.48	1.915	18
49.80	1.831	21
56.32	1.633	16
59.71	1.549	16

Cell lengths 3.6621, 3.6621, 7.2169 Å; angles 90.14, 90.14, 59.98 degrees
Atoms (fractional coordinates):
Rb  0.0000  0.0000  0.0000
Pa  0.6685  0.6685  0.4745
N  0.0023  0.0023  0.5945
O  0.3346  0.3346  0.3215



Record 5
Diffraction record for Tb2HoUO8. The PXRD pattern is simulated, not measured: it uses a structure optimized by DFT (GGA-PBE) and Cu Kα.

The 10 most intense peaks (2θ from 10° to 80°), low angle first:
2θ (°)	d [Å]	I/Imax
28.52	3.129	100
28.98	3.081	96
33.21	2.697	44
33.54	2.672	22
47.08	1.930	18
47.92	1.898	66
48.27	1.885	16
56.24	1.636	31
56.93	1.618	15
57.03	1.615	29

Cell lengths 3.8602, 5.3445, 7.5417 Å; angles 90.00, 90.00, 90.00 degrees
Atoms (fractional coordinates):
Tb  0.0000  0.0000  0.2492
Tb  0.0000  0.0000  0.7508
Ho  0.5000  0.5000  0.0000
U  0.5000  0.5000  0.5000
O  0.0000  0.2520  0.0000
O  0.0000  0.2689  0.5000
O  0.0000  0.7311  0.5000
O  0.0000  0.7480  0.0000
O  0.5000  0.2603  0.2708
O  0.5000  0.2603  0.7292
O  0.5000  0.7397  0.2708
O  0.5000  0.7397  0.7292



Record 6
Diffraction record for Hf3Te4Se2. The PXRD pattern is simulated, not measured: it uses a structure optimized by DFT (GGA-PBE) and Cu Kα.

The 10 most intense peaks (2θ from 10° to 80°), low angle first:
2θ (°)	d [Å]	I/Imax
11.66	7.592	100
26.95	3.308	49
29.46	3.032	21
31.27	2.860	33
33.48	2.676	81
38.82	2.320	25
41.87	2.158	38
47.62	1.910	41
49.20	1.852	17
69.87	1.346	19

Cell lengths 3.8195, 3.8195, 22.7747 Å; angles 90.00, 90.00, 120.00 degrees
Atoms (fractional coordinates):
Hf  0.0000  0.0000  0.0000
Hf  0.0000  0.0000  0.3471
Hf  0.6667  0.3333  0.6812
Te  0.0000  0.0000  0.5987
Te  0.0000  0.0000  0.7636
Te  0.6667  0.3333  0.2647
Te  0.6667  0.3333  0.4297
Se  0.6667  0.3333  0.0723
Se  0.6667  0.3333  0.9276



Record 7
Diffraction record for CaTa2O6. The PXRD pattern is simulated, not measured: it uses a structure optimized by DFT (GGA-PBE) and Cu Kα.

The 10 most intense peaks (2θ from 10° to 80°), low angle first:
2θ (°)	d [Å]	I/Imax
18.17	4.882	100
23.48	3.788	80
29.01	3.078	98
29.85	2.993	93
31.92	2.804	28
33.03	2.712	39
37.66	2.389	51
40.01	2.254	29
52.83	1.733	35
57.09	1.613	41

Cell lengths 11.2147, 7.5764, 5.4222 Å; angles 90.00, 90.00, 90.00 degrees
Atoms (fractional coordinates):
Ca  0.0412  0.2500  0.0424
Ca  0.4588  0.7500  0.5424
Ca  0.5412  0.2500  0.4576
Ca  0.9588  0.7500  0.9576
Ta  0.1409  0.5054  0.5368
Ta  0.1409  0.9946  0.5368
Ta  0.3591  0.0054  0.0368
Ta  0.3591  0.4946  0.0368
Ta  0.6409  0.5054  0.9632
Ta  0.6409  0.9946  0.9632
Ta  0.8591  0.0054  0.4632
Ta  0.8591  0.4946  0.4632
O  0.0236  0.5403  0.2707
O  0.0236  0.9597  0.2707
O  0.1222  0.7500  0.6605
O  0.1443  0.2500  0.4486
O  0.2133  0.0599  0.8676
O  0.2133  0.4401  0.8676
O  0.2867  0.5599  0.3676
O  0.2867  0.9401  0.3676
O  0.3557  0.7500  0.9486
O  0.3778  0.2500  0.1605
O  0.4764  0.0403  0.7707
O  0.4764  0.4597  0.7707
O  0.5236  0.5403  0.2293
O  0.5236  0.9597  0.2293
O  0.6222  0.7500  0.8395
O  0.6443  0.2500  0.0514
O  0.7133  0.0599  0.6324
O  0.7133  0.4401  0.6324
O  0.7867  0.5599  0.1324
O  0.7867  0.9401  0.1324
O  0.8557  0.7500  0.5514
O  0.8778  0.2500  0.3395
O  0.9764  0.0403  0.7293
O  0.9764  0.4597  0.7293



Record 8
Diffraction record for LaBTe. The PXRD pattern is simulated, not measured: it uses a structure optimized by DFT (GGA-PBE) and Cu Kα.

The 10 most intense peaks (2θ from 10° to 80°), low angle first:
2θ (°)	d [Å]	I/Imax
21.77	4.082	43
29.82	2.996	100
30.08	2.971	53
33.71	2.659	42
34.52	2.598	38
41.70	2.166	19
42.15	2.144	19
49.36	1.846	23
52.65	1.739	21
55.21	1.664	18

Cell lengths 8.4409, 4.3322, 8.5759 Å; angles 90.00, 104.71, 90.00 degrees
Atoms (fractional coordinates):
La  0.1924  0.2245  0.3061
La  0.1924  0.2755  0.8061
La  0.8076  0.7245  0.1939
La  0.8076  0.7755  0.6939
B  0.0520  0.6409  0.4743
B  0.0520  0.8591  0.9743
B  0.9480  0.1409  0.0257
B  0.9480  0.3591  0.5257
Te  0.3289  0.7491  0.0927
Te  0.3289  0.7509  0.5927
Te  0.6711  0.2491  0.4073
Te  0.6711  0.2509  0.9073